Diffraction record for AcInSnBr6. The XRD peak list is theoretical, not measured: it uses a structure optimized by DFT (GGA-PBE) and CuKα.

Top 12 peaks for 5° ≤ 2θ ≤ 70°, sorted by position:
| 2θ (°) | intensity |
| --- | --- |
| 13.62 | 17 |
| 17.08 | 100 |
| 22.58 | 37 |
| 25.68 | 58 |
| 27.16 | 19 |
| 33.38 | 100 |
| 34.56 | 41 |
| 38.60 | 21 |
| 41.68 | 58 |
| 42.49 | 22 |
| 52.77 | 23 |
| 55.22 | 13 |

Cell and atoms:
```
AcInSnBr6
1.0
7.3407 0.0000 0.0000
0.0000 7.3407 0.0000
0.0000 0.0000 13.9937
Ac In Sn Br
2 2 2 12
direct
0.0000 0.0000 0.0000
0.5000 0.5000 0.5000
0.0000 0.0000 0.6676
0.5000 0.5000 0.1676
0.0000 0.0000 0.3336
0.5000 0.5000 0.8336
0.1840 0.1840 0.1720
0.2072 0.2072 0.4892
0.2079 0.2079 0.8453
0.2921 0.7079 0.3453
0.2928 0.7072 0.9892
0.3160 0.6840 0.6720
0.6840 0.3160 0.6720
0.7072 0.2928 0.9892
0.7079 0.2921 0.3453
0.7921 0.7921 0.8453
0.7928 0.7928 0.4892
0.8160 0.8160 0.1720
```

---

Diffraction record for Ac8NiIr3Br3. The XRD peak list is theoretical, not measured: it uses a structure optimized by DFT (GGA-PBE) and CuKα.

Top 12 peaks for 5° ≤ 2θ ≤ 70°, sorted by position:
| 2θ (°) | intensity |
| --- | --- |
| 10.89 | 44 |
| 24.63 | 15 |
| 27.75 | 100 |
| 35.02 | 25 |
| 37.92 | 28 |
| 41.32 | 40 |
| 42.86 | 10 |
| 47.56 | 17 |
| 50.51 | 20 |
| 55.26 | 7 |
| 57.32 | 8 |
| 67.24 | 17 |

Cell and atoms:
```
Ac8NiIr3Br3
1.0
7.5663 -4.3707 0.0000
7.5663 4.3707 0.0000
-5.0487 0.0000 8.1233
Ac Ni Ir Br
8 1 3 3
direct
0.2302 0.7327 0.6947
0.2329 0.2329 0.6974
0.2673 0.7698 0.3053
0.2677 0.2677 0.3057
0.7323 0.7323 0.6943
0.7327 0.2302 0.6947
0.7671 0.7671 0.3026
0.7698 0.2673 0.3053
0.5000 0.5000 0.5000
0.0000 0.0000 0.5000
0.0000 0.5000 0.5000
0.5000 0.0000 0.5000
0.0000 0.5000 0.0000
0.5000 0.0000 0.0000
0.5000 0.5000 0.0000
```

---

Diffraction record for Ac6Ir2RuBr3. The XRD peak list is theoretical, not measured: it uses a structure optimized by DFT (GGA-PBE) and CuKα.

Top 12 peaks for 5° ≤ 2θ ≤ 70°, sorted by position:
| 2θ (°) | intensity |
| --- | --- |
| 10.70 | 37 |
| 24.78 | 11 |
| 27.77 | 100 |
| 34.81 | 22 |
| 37.61 | 28 |
| 41.67 | 39 |
| 43.14 | 8 |
| 46.99 | 15 |
| 50.81 | 19 |
| 53.83 | 13 |
| 57.37 | 8 |
| 67.74 | 16 |

Cell and atoms:
```
Ac6Ir2RuBr3
1.0
3.7545 -6.5032 0.0000
3.7545 6.5032 0.0000
-2.5015 0.0000 8.2713
Ac Ir Ru Br
6 2 1 3
direct
0.0646 0.3941 0.1940
0.2649 0.2649 0.8060
0.3941 0.0646 0.1940
0.6059 0.9354 0.8060
0.7351 0.7351 0.1940
0.9354 0.6059 0.8060
0.3332 0.6668 0.0000
0.6668 0.3332 0.0000
0.0000 0.0000 0.0000
0.1646 0.8354 0.5000
0.5000 0.5000 0.5000
0.8354 0.1646 0.5000
```

---

Diffraction record for Ac4SiIrBr2. The XRD peak list is theoretical, not measured: it uses a structure optimized by DFT (GGA-PBE) and CuKα.

Top 12 peaks for 5° ≤ 2θ ≤ 70°, sorted by position:
| 2θ (°) | intensity |
| --- | --- |
| 11.11 | 19 |
| 11.55 | 9 |
| 24.42 | 14 |
| 27.33 | 100 |
| 34.79 | 10 |
| 36.88 | 10 |
| 38.49 | 18 |
| 39.59 | 28 |
| 41.05 | 14 |
| 50.04 | 13 |
| 56.39 | 9 |
| 64.56 | 12 |

Cell and atoms:
```
Ac4SiIrBr2
1.0
7.9882 0.0000 0.0000
0.0000 4.3970 0.0000
-2.3520 0.0000 7.9636
Ac Si Ir Br
4 1 1 2
direct
0.2190 0.0000 0.1978
0.2519 0.5000 0.7978
0.7481 0.5000 0.2022
0.7810 0.0000 0.8022
0.5000 0.0000 0.0000
0.0000 0.5000 0.0000
0.0000 0.0000 0.5000
0.5000 0.5000 0.5000
```

---

Diffraction record for AcThIrBr. The XRD peak list is theoretical, not measured: it uses a structure optimized by DFT (GGA-PBE) and CuKα.

Top 12 peaks for 5° ≤ 2θ ≤ 70°, sorted by position:
| 2θ (°) | intensity |
| --- | --- |
| 10.79 | 56 |
| 25.14 | 24 |
| 28.15 | 17 |
| 30.23 | 100 |
| 38.06 | 13 |
| 42.31 | 45 |
| 43.80 | 12 |
| 44.23 | 30 |
| 52.88 | 21 |
| 54.51 | 17 |
| 62.86 | 14 |
| 69.94 | 19 |

Cell and atoms:
```
AcThIrBr
1.0
2.1360 1.2332 8.1957
-2.1360 1.2332 8.1957
0.0000 -2.4665 8.1957
Ac Th Ir Br
1 1 1 1
direct
0.0000 0.0000 0.0000
0.7924 0.7924 0.7924
0.4044 0.4044 0.4044
0.2253 0.2253 0.2253
```

---

Diffraction record for K2AcBr5. The XRD peak list is theoretical, not measured: it uses a structure optimized by DFT (GGA-PBE) and CuKα.

Top 12 peaks for 5° ≤ 2θ ≤ 70°, sorted by position:
| 2θ (°) | intensity |
| --- | --- |
| 12.00 | 100 |
| 12.87 | 52 |
| 18.57 | 33 |
| 24.87 | 30 |
| 27.88 | 37 |
| 28.43 | 43 |
| 29.44 | 30 |
| 30.62 | 67 |
| 32.08 | 73 |
| 34.73 | 55 |
| 37.65 | 37 |
| 39.17 | 34 |

Cell and atoms:
```
K2AcBr5
1.0
13.7526 0.0000 0.0000
0.0000 9.5566 0.0000
0.0000 0.0000 8.7419
K Ac Br
8 4 20
direct
0.1739 0.0021 0.0401
0.1739 0.4979 0.0401
0.3261 0.5021 0.5401
0.3261 0.9979 0.5401
0.6739 0.0021 0.4599
0.6739 0.4979 0.4599
0.8261 0.5021 0.9599
0.8261 0.9979 0.9599
0.0076 0.2500 0.5759
0.4924 0.7500 0.0759
0.5076 0.2500 0.9241
0.9924 0.7500 0.4241
0.0081 0.2500 0.9322
0.0858 0.5445 0.6639
0.0858 0.9555 0.6639
0.1823 0.2500 0.3594
0.2096 0.7500 0.3203
0.2904 0.2500 0.8203
0.3177 0.7500 0.8594
0.4142 0.0445 0.1639
0.4142 0.4555 0.1639
0.4919 0.7500 0.4322
0.5081 0.2500 0.5678
0.5858 0.5445 0.8361
0.5858 0.9555 0.8361
0.6823 0.2500 0.1406
0.7096 0.7500 0.1797
0.7904 0.2500 0.6797
0.8177 0.7500 0.6406
0.9142 0.0445 0.3361
0.9142 0.4555 0.3361
0.9919 0.7500 0.0678
```